Diffraction record for YPaSe3. The powder diffraction line list is theoretical, not measured: it uses a PBE-relaxed structure and Cu Kα, 1.54184 Å.
Neutral-atom scattering factors, no anomalous dispersion.

Structural model:
```
YPaSe3
1.0
7.049 -5.908 0.000
7.049 5.908 0.000
-1.301 0.000 6.800
Y Pa Se
4 4 12
Direct
0.161 0.331 0.321
0.331 0.161 0.821
0.669 0.839 0.179
0.839 0.669 0.679
0.240 0.760 0.250
0.421 0.579 0.750
0.579 0.421 0.250
0.760 0.240 0.750
0.044 0.196 0.952
0.128 0.628 0.538
0.196 0.044 0.452
0.283 0.462 0.033
0.372 0.872 0.962
0.462 0.283 0.533
0.538 0.717 0.467
0.628 0.128 0.038
0.717 0.538 0.967
0.804 0.956 0.548
0.872 0.372 0.462
0.956 0.804 0.048
```

Most intense lines, 2θ = 10–80°, by angle:
d = 6.924 Å, 2θ 12.8, rel. 42.8
d = 3.979 Å, 2θ 22.3, rel. 40.2
d = 3.555 Å, 2θ 25.0, rel. 37.8
d = 3.308 Å, 2θ 27.0, rel. 34.1
d = 3.240 Å, 2θ 27.5, rel. 75.7
d = 2.692 Å, 2θ 33.3, rel. 64.6
d = 2.626 Å, 2θ 34.1, rel. 100.0
d = 2.256 Å, 2θ 40.0, rel. 66.4
d = 2.226 Å, 2θ 40.5, rel. 35.5
d = 1.991 Å, 2θ 45.6, rel. 62.7
d = 1.969 Å, 2θ 46.1, rel. 31.3
d = 1.589 Å, 2θ 58.0, rel. 23.0